Computed X-ray diffraction stick pattern
Compound: Pm6Pr3Mg
Radiation: λ = 1.5418 Å (Cu Kα)
Structure: the GGA-PBE geometry in Alexandria
Lines closer than 0.1° are merged.

Cell and atoms:
abc: 10.2245 10.2245 9.5035
angles: 90.00 90.00 136.05
Sites, in units of the cell vectors:
1 Pm 0.0434 0.9566 0.5000
2 Pm 0.0518 0.4429 0.0427
3 Pm 0.1747 0.3056 0.3062
4 Pm 0.2908 0.7092 0.3370
5 Pm 0.3056 0.1747 0.8062
6 Pm 0.4429 0.0518 0.5427
7 Pm 0.5571 0.9482 0.0427
8 Pm 0.6944 0.8253 0.3062
9 Pm 0.7092 0.2908 0.8370
10 Pm 0.8253 0.6944 0.8062
11 Pm 0.9482 0.5571 0.5427
12 Pm 0.9566 0.0434 0.0000
13 Pr 0.1249 0.3768 0.6740
14 Pr 0.3768 0.1249 0.1740
15 Pr 0.4580 0.5420 0.0077
16 Pr 0.5420 0.4580 0.5077
17 Pr 0.6232 0.8751 0.6740
18 Pr 0.8751 0.6232 0.1740
19 Mg 0.2138 0.7862 0.8298
20 Mg 0.7862 0.2138 0.3298

Main lines, sorted by position (5 to 70 degrees two-theta):
2θ/deg, I/Imax
29.76, 67
30.00, 21
31.48, 100
54.74, 15
57.09, 21
57.57, 20